Diffraction record for YEr2Co8Ni. The powder diffractogram is calculated, not measured: it uses the GGA-PBE geometry in OQMD and CuKα.
Neutral-atom scattering factors, no anomalous dispersion.

Lattice parameters (Å, degrees): 8.6134 8.6134 8.6134 33.12 33.12 33.12
Positions (direct):
Y1 0.0000 0.0000 0.0000
Er1 0.1393 0.1393 0.1393
Er2 0.8607 0.8607 0.8607
Co1 0.0797 0.5818 0.5818
Co2 0.3341 0.3341 0.3341
Co3 0.4182 0.4182 0.9203
Co4 0.4182 0.9203 0.4182
Co5 0.5818 0.0797 0.5818
Co6 0.5818 0.5818 0.0797
Co7 0.6659 0.6659 0.6659
Co8 0.9203 0.4182 0.4182
Ni1 0.5000 0.5000 0.5000

Main lines, in order of rising 2θ (2θ from 15° to 90°):
Position (°2θ)	I/Imax
33.24	49.9
36.25	44.6
36.61	57.4
42.70	46.6
43.04	100.0
46.16	25.3
46.60	24.3
77.83	23.7